Diffraction record for KTl12Pd5. The X-ray diffraction stick pattern is calculated, not measured: it uses a structure optimized by DFT (GGA-PBE) and Cu Ka.
Kinematic intensities with the Lorentz-polarization factor, no thermal factor.

Top 8 peaks for 2θ = 10–90°, by angle:
2θ/deg  I/Imax
25.8  29
32.3  100
32.6  68
35.4  69
36.8  61
37.9  29
39.7  32
62.0  46

Structure:
Lattice parameters (Å, degrees): 8.493 8.493 8.493 116.14 115.36 97.54
Positions (direct):
1 K 0.000 0.000 0.000
2 Tl 0.126 0.822 0.305
3 Tl 0.225 0.320 0.545
4 Tl 0.225 0.680 0.904
5 Tl 0.267 0.080 0.812
6 Tl 0.267 0.455 0.188
7 Tl 0.483 0.178 0.305
8 Tl 0.517 0.822 0.695
9 Tl 0.733 0.545 0.812
10 Tl 0.733 0.920 0.188
11 Tl 0.775 0.320 0.096
12 Tl 0.775 0.680 0.455
13 Tl 0.874 0.178 0.695
14 Pd 0.125 0.625 0.500
15 Pd 0.500 0.164 0.664
16 Pd 0.500 0.500 0.000
17 Pd 0.500 0.836 0.336
18 Pd 0.875 0.375 0.500